Record 1
Diffraction record for Ba2CaSb2O6. The powder X-ray diffraction pattern is simulated, not measured: it uses DFT lattice parameters and positions (GGA-PBE) and Cu Ka.
Intensities are scaled so that the largest is 100.

Structural model:
```
data_Ba2CaSb2O6
_chemical_formula_sum 'Ba6 Ca3 Sb6 O18'
_symmetry_space_group_name_H-M 'R -3 m'
_symmetry_Int_Tables_number 166
_symmetry_space_group_name_Hall '-R 3 2"'
_cell_length_a 6.4741
_cell_length_b 6.4741
_cell_length_c 18.2126
_cell_angle_alpha 90.00
_cell_angle_beta 90.00
_cell_angle_gamma 120.00
loop_
_atom_site_label
_atom_site_type_symbol
_atom_site_fract_x
_atom_site_fract_y
_atom_site_fract_z
Ba1 Ba 0.0000 0.0000 0.2036
Ca1 Ca 0.0000 0.0000 0.0000
Sb1 Sb 0.0000 0.0000 0.4226
O1 O 0.0262 0.5131 0.7559
```

Peak list (10 most intense, 2θ = 15–90°, in order of rising 2θ)
two_theta	intensity	h k l
27.56	100	1 1 0
29.24	72	0 1 5
31.32	18	1 1 3
40.61	33	2 0 5
42.89	17	0 1 8
48.72	20	3 0 0
49.78	36	1 2 5
56.89	19	2 2 0
59.61	11	1 2 8
65.24	14	3 1 5



Record 2
Diffraction record for BaCa3Se4O12. The powder X-ray diffraction pattern is simulated, not measured: it uses DFT lattice parameters and positions (GGA-PBE) and Cu Ka.
Intensities are scaled so that the largest is 100.

Structural model:
```
data_BaCa3Se4O12
_chemical_formula_sum 'Ba3 Ca9 Se12 O36'
_symmetry_space_group_name_H-M 'R 3 2'
_symmetry_Int_Tables_number 155
_symmetry_space_group_name_Hall 'R 3 2"'
_cell_length_a 11.4636
_cell_length_b 11.4636
_cell_length_c 9.0134
_cell_angle_alpha 90.00
_cell_angle_beta 90.00
_cell_angle_gamma 120.00
loop_
_atom_site_label
_atom_site_type_symbol
_atom_site_fract_x
_atom_site_fract_y
_atom_site_fract_z
Ba1 Ba 0.0000 0.0000 0.0000
Ca1 Ca 0.0000 0.5757 0.0000
Se1 Se 0.0000 0.0000 0.5000
Se2 Se 0.0000 0.4027 0.5000
O1 O 0.0000 0.5536 0.5000
O2 O 0.0000 0.8409 0.5000
O3 O 0.0427 0.1970 0.2008
```

Peak list (10 most intense, 2θ = 15–90°, in order of rising 2θ)
two_theta	intensity	h k l
25.72	35	2 1 1
26.72	100	2 0 2
26.94	40	3 0 0
31.01	28	1 2 2
33.68	30	1 1 3
34.05	27	1 3 1
44.14	22	0 2 4
44.57	31	2 3 2
50.21	23	5 0 2
58.02	23	5 2 0



Record 3
Diffraction record for BaCaSiO4. The powder X-ray diffraction pattern is simulated, not measured: it uses DFT lattice parameters and positions (GGA-PBE) and Cu Ka.
Intensities are scaled so that the largest is 100.

Structural model:
```
data_BaCaSiO4
_chemical_formula_sum 'Ba8 Ca8 Si8 O32'
_symmetry_space_group_name_H-M 'P 63 m c'
_symmetry_Int_Tables_number 186
_symmetry_space_group_name_Hall 'P 6c -2c'
_cell_length_a 11.3752
_cell_length_b 11.3752
_cell_length_c 7.2935
_cell_angle_alpha 90.00
_cell_angle_beta 90.00
_cell_angle_gamma 120.00
loop_
_atom_site_label
_atom_site_type_symbol
_atom_site_fract_x
_atom_site_fract_y
_atom_site_fract_z
Ba1 Ba 0.1672 0.3344 0.0000
Ba2 Ba 0.3333 0.6667 0.3086
Ca1 Ca 0.0000 0.0000 0.2063
Ca2 Ca 0.0594 0.5297 0.6740
Si1 Si 0.1716 0.3432 0.4499
Si2 Si 0.3333 0.6667 0.8818
O1 O 0.0855 0.4093 0.3549
O2 O 0.0874 0.1747 0.4188
O3 O 0.1760 0.5880 0.9642
O4 O 0.1883 0.3765 0.6672
O5 O 0.3333 0.6667 0.6590
```

Peak list (10 most intense, 2θ = 15–90°, in order of rising 2θ)
two_theta	intensity	h k l
18.01	22	2 0 0
21.77	45	2 0 1
26.88	20	2 1 1
29.09	27	1 1 2
30.50	35	2 0 2
31.46	100	2 2 0
36.83	22	3 0 2
38.13	19	1 0 3
38.58	41	4 0 1
49.20	20	4 1 2



Record 4
Diffraction record for BaCa2Si3O9. The powder X-ray diffraction pattern is simulated, not measured: it uses DFT lattice parameters and positions (GGA-PBE) and Cu Ka.
Intensities are scaled so that the largest is 100.

Structural model:
```
data_BaCa2Si3O9
_chemical_formula_sum 'Ba2 Ca4 Si6 O18'
_symmetry_space_group_name_H-M 'P -1'
_symmetry_Int_Tables_number 2
_cell_length_a 6.7629
_cell_length_b 6.8640
_cell_length_c 9.7198
_cell_angle_alpha 88.35
_cell_angle_beta 69.96
_cell_angle_gamma 77.74
loop_
_symmetry_equiv_pos_as_xyz
'x,y,z'
'-x,-y,-z'
loop_
_atom_site_label
_atom_site_type_symbol
_atom_site_fract_x
_atom_site_fract_y
_atom_site_fract_z
Ba1 Ba 0.1671 0.4482 0.1522
Ca1 Ca 0.2262 0.9367 0.8280
Ca2 Ca 0.2773 0.2162 0.4885
Si1 Si 0.2299 0.7363 0.4802
Si2 Si 0.2926 0.9404 0.1945
Si3 Si 0.3778 0.4025 0.7757
O1 O 0.0352 0.6458 0.5850
O2 O 0.1391 0.8631 0.3539
O3 O 0.1529 0.0079 0.0893
O4 O 0.2288 0.5997 0.8741
O5 O 0.2348 0.2663 0.7358
O6 O 0.3369 0.8725 0.5558
O7 O 0.4020 0.1117 0.2314
O8 O 0.4238 0.5467 0.3722
O9 O 0.4822 0.7291 0.1236
```

Peak list (10 most intense, 2θ = 15–90°, in order of rising 2θ)
two_theta	intensity	h k l
19.87	26	1 0 -1
27.41	41	1 2 0
27.88	38	0 2 -1
28.77	41	2 0 0
28.83	27	0 2 1
29.37	100	0 0 3
31.72	17	1 -1 3
32.40	20	0 2 -2
32.63	34	2 -1 1
33.82	23	2 2 1